# 1
Computed powder XRD pattern of GaAgTe2O8 for Cu Kα (weighted mean of Kα1 and Kα2), from a crystal structure in Alexandria, relaxed with PBE.

```
data_GaAgTe2O8
_symmetry_space_group_name_H-M 'P 1'
_symmetry_Int_Tables_number 1
_cell_length_a 4.888
_cell_length_b 4.888
_cell_length_c 6.379
_cell_angle_alpha 90.00
_cell_angle_beta 90.00
_cell_angle_gamma 95.75
loop_
_symmetry_equiv_pos_as_xyz
'x,y,z'
loop_
_atom_site_label
_atom_site_fract_x
_atom_site_fract_y
_atom_site_fract_z
_atom_site_occupancy
Ga1 0.000 0.000 0.000 1
Ag1 0.000 0.000 0.500 1
Te1 0.500 0.500 0.246 1
Te2 0.500 0.500 0.754 1
O1 0.203 0.203 0.227 1
O2 0.203 0.203 0.773 1
O3 0.313 0.687 0.000 1
O4 0.327 0.673 0.500 1
O5 0.673 0.327 0.500 1
O6 0.687 0.313 0.000 1
O7 0.797 0.797 0.227 1
O8 0.797 0.797 0.773 1
```

Peak list (10 most intense, 2θ from 5° to 70°, in order of rising 2θ)
two_theta  d [Å]  Rel. int.
24.6  3.625  80
27.2  3.279  58
33.6  2.667  100
37.0  2.432  29
49.3  1.848  50
50.3  1.813  12
52.3  1.750  38
56.1  1.639  10
63.8  1.460  10
64.5  1.445  27


# 2
Computed powder XRD pattern of K5Pu2F12 for Cu Kα (weighted mean of Kα1 and Kα2), from a crystal structure in Alexandria, relaxed with PBE.

```
data_K5Pu2F12
_symmetry_space_group_name_H-M 'P 1'
_symmetry_Int_Tables_number 1
_cell_length_a 7.970
_cell_length_b 7.970
_cell_length_c 7.553
_cell_angle_alpha 116.53
_cell_angle_beta 116.53
_cell_angle_gamma 60.88
loop_
_symmetry_equiv_pos_as_xyz
'x,y,z'
loop_
_atom_site_label
_atom_site_fract_x
_atom_site_fract_y
_atom_site_fract_z
_atom_site_occupancy
K1 0.000 0.000 0.000 1
K2 0.269 0.269 0.496 1
K3 0.296 0.296 0.979 1
K4 0.704 0.704 0.021 1
K5 0.731 0.731 0.504 1
Pu1 0.247 0.753 0.500 1
Pu2 0.753 0.247 0.500 1
F1 0.078 0.078 0.698 1
F2 0.102 0.523 0.258 1
F3 0.118 0.702 0.679 1
F4 0.298 0.882 0.321 1
F5 0.477 0.898 0.742 1
F6 0.499 0.499 0.331 1
F7 0.501 0.501 0.669 1
F8 0.523 0.102 0.258 1
F9 0.702 0.118 0.679 1
F10 0.882 0.298 0.321 1
F11 0.898 0.477 0.742 1
F12 0.922 0.922 0.302 1
```

Peak list (10 most intense, 2θ from 5° to 70°, in order of rising 2θ)
two_theta  d [Å]  Rel. int.
13.7  6.460  100
14.2  6.248  82
15.1  5.878  50
26.0  3.425  60
26.3  3.391  39
26.8  3.328  41
28.6  3.124  25
32.5  2.757  34
33.7  2.658  27
44.4  2.038  22


# 3
Computed powder XRD pattern of LaNdPdPt for Cu Kα (weighted mean of Kα1 and Kα2), from a crystal structure in Alexandria, relaxed with PBE.

```
data_LaNdPdPt
_symmetry_space_group_name_H-M 'P 1'
_symmetry_Int_Tables_number 1
_cell_length_a 4.629
_cell_length_b 5.827
_cell_length_c 5.827
_cell_angle_alpha 39.60
_cell_angle_beta 90.00
_cell_angle_gamma 90.00
loop_
_symmetry_equiv_pos_as_xyz
'x,y,z'
loop_
_atom_site_label
_atom_site_fract_x
_atom_site_fract_y
_atom_site_fract_z
_atom_site_occupancy
La1 0.000 0.000 0.000 1
Nd1 0.500 0.272 0.272 1
Pd1 0.500 0.549 0.549 1
Pt1 0.000 0.725 0.725 1
```

Peak list (10 most intense, 2θ from 5° to 70°, in order of rising 2θ)
two_theta  d [Å]  Rel. int.
16.2  5.482  13
30.9  2.897  100
32.7  2.741  32
33.4  2.682  14
38.2  2.359  20
38.8  2.321  78
38.9  2.314  32
46.0  1.974  20
51.7  1.769  22
61.8  1.502  16